This entry pairs a crystal structure of AcLaRh2 with its calculated powder X-ray diffraction pattern. Radiation: Cu Kα X-rays. Structure: a crystal structure in Alexandria, relaxed with GGA-PBE.

Cell lengths 5.8455, 5.8542, 12.0806 Å; angles 90.00, 104.13, 90.00 degrees
Element x y z (fractional)
Ac  0.1947  0.1268  0.1392
Ac  0.1947  0.8732  0.6392
Ac  0.8053  0.1268  0.3608
Ac  0.8053  0.8732  0.8608
La  0.3072  0.3752  0.8631
La  0.3072  0.6248  0.3631
La  0.6928  0.3752  0.6369
La  0.6928  0.6248  0.1369
Rh  0.1691  0.3755  0.5903
Rh  0.1691  0.6245  0.0902
Rh  0.3328  0.1298  0.4144
Rh  0.3328  0.8702  0.9144
Rh  0.6672  0.1298  0.0856
Rh  0.6672  0.8702  0.5856
Rh  0.8309  0.3755  0.9098
Rh  0.8309  0.6245  0.4098

The 6 most intense peaks (2θ = 5–70°), in order of rising 2θ:
- 30.5 deg, I = 40
- 31.5 deg, I = 100
- 34.5 deg, I = 26
- 38.5 deg, I = 61
- 43.8 deg, I = 45
- 54.3 deg, I = 32



This entry pairs a crystal structure of Sb3S4Br with its calculated powder X-ray diffraction pattern. Radiation: Cu Kα X-rays. Structure: a crystal structure in Alexandria, relaxed with GGA-PBE.

Cell lengths 9.5005, 9.5005, 10.7539 Å; angles 122.74, 122.74, 41.72 degrees
Element x y z (fractional)
Sb  0.0086  0.9914  0.5000
Sb  0.1971  0.2180  0.9135
Sb  0.2180  0.1971  0.4135
Sb  0.5744  0.6515  0.1886
Sb  0.6515  0.5744  0.6886
Sb  0.9914  0.0086  0.0000
S  0.0547  0.3087  0.6668
S  0.2177  0.8870  0.7588
S  0.2727  0.6315  0.0210
S  0.3087  0.0547  0.1668
S  0.4826  0.8142  0.4339
S  0.6315  0.2727  0.5210
S  0.8142  0.4826  0.9339
S  0.8870  0.2177  0.2588
Br  0.6771  0.9690  0.8798
Br  0.9690  0.6771  0.3798

The 6 most intense peaks (2θ = 5–70°), in order of rising 2θ:
- 12.2 deg, I = 80
- 16.5 deg, I = 100
- 21.8 deg, I = 52
- 33.7 deg, I = 78
- 33.9 deg, I = 61
- 36.3 deg, I = 67



This entry pairs a crystal structure of Ba9Na2Au3 with its calculated powder X-ray diffraction pattern. Radiation: Cu Kα X-rays. Structure: a crystal structure in Alexandria, relaxed with GGA-PBE.

Cell lengths 10.4938, 10.4938, 14.6730 Å; angles 111.26, 111.26, 59.02 degrees
Element x y z (fractional)
Ba  0.0182  0.2107  0.0533
Ba  0.0833  0.6466  0.2508
Ba  0.1418  0.3383  0.4214
Ba  0.1732  0.8268  0.7500
Ba  0.2107  0.0182  0.5533
Ba  0.3383  0.1418  0.9214
Ba  0.3534  0.9167  0.2492
Ba  0.3942  0.4930  0.0792
Ba  0.4930  0.3942  0.5792
Ba  0.5070  0.6058  0.4208
Ba  0.6058  0.5070  0.9208
Ba  0.6466  0.0833  0.7508
Ba  0.6617  0.8582  0.0786
Ba  0.7893  0.9818  0.4467
Ba  0.8268  0.1732  0.2500
Ba  0.8582  0.6617  0.5786
Ba  0.9167  0.3534  0.7492
Ba  0.9818  0.7893  0.9467
Na  0.2462  0.4206  0.7499
Na  0.4206  0.2462  0.2499
Na  0.5794  0.7538  0.7501
Na  0.7538  0.5794  0.2501
Au  0.0000  0.5000  0.0000
Au  0.1568  0.6826  0.5006
Au  0.3174  0.8432  0.9994
Au  0.5000  0.0000  0.5000
Au  0.6826  0.1568  0.0006
Au  0.8432  0.3174  0.4994

The 6 most intense peaks (2θ = 5–70°), in order of rising 2θ:
- 13.3 deg, I = 56
- 26.3 deg, I = 64
- 26.4 deg, I = 54
- 29.3 deg, I = 55
- 29.8 deg, I = 100
- 31.8 deg, I = 65



This entry pairs a crystal structure of Ga2Ag2Au with its calculated powder X-ray diffraction pattern. Radiation: Cu Kα X-rays. Structure: a crystal structure in Alexandria, relaxed with GGA-PBE.

Cell lengths 5.3682, 5.3682, 7.2783 Å; angles 111.46, 111.46, 79.50 degrees
Element x y z (fractional)
Ga  0.0544  0.6964  0.8446
Ga  0.3036  0.9456  0.6554
Ga  0.6964  0.0544  0.3446
Ga  0.9456  0.3036  0.1554
Ag  0.2971  0.3952  0.5403
Ag  0.3952  0.2971  0.0403
Ag  0.6048  0.7029  0.9597
Ag  0.7029  0.6048  0.4597
Au  0.1694  0.8306  0.2500
Au  0.8306  0.1694  0.7500

The 6 most intense peaks (2θ = 5–70°), in order of rising 2θ:
- 34.0 deg, I = 100
- 35.3 deg, I = 73
- 38.0 deg, I = 78
- 38.5 deg, I = 56
- 40.2 deg, I = 69
- 41.4 deg, I = 73



This entry pairs a crystal structure of Pr2U3Se8 with its calculated powder X-ray diffraction pattern. Radiation: Cu Kα X-rays. Structure: a crystal structure in Alexandria, relaxed with GGA-PBE.

Cell lengths 8.5249, 8.5249, 6.9803 Å; angles 106.11, 106.11, 58.13 degrees
Element x y z (fractional)
Pr  0.2410  0.2410  0.1667
Pr  0.7590  0.7590  0.8333
U  0.2440  0.7560  0.5000
U  0.5000  0.5000  0.0000
U  0.7560  0.2440  0.5000
Se  0.1155  0.1155  0.4208
Se  0.1414  0.6160  0.0879
Se  0.3841  0.3841  0.5843
Se  0.3840  0.8586  0.9121
Se  0.6160  0.1414  0.0879
Se  0.6159  0.6159  0.4157
Se  0.8586  0.3840  0.9121
Se  0.8845  0.8845  0.5792

The 6 most intense peaks (2θ = 5–70°), in order of rising 2θ:
- 12.5 deg, I = 51
- 26.4 deg, I = 67
- 32.8 deg, I = 100
- 33.3 deg, I = 50
- 39.1 deg, I = 63
- 44.7 deg, I = 63



This entry pairs a crystal structure of Nd4Ga3Rh with its calculated powder X-ray diffraction pattern. Radiation: Cu Kα X-rays. Structure: a crystal structure in Alexandria, relaxed with GGA-PBE.

Cell lengths 4.2581, 4.3771, 10.9124 Å; angles 90.00, 90.00, 90.00 degrees
Element x y z (fractional)
Nd  0.0000  0.0000  0.0000
Nd  0.0000  0.5000  0.4819
Nd  0.5000  0.0000  0.7031
Nd  0.5000  0.5000  0.2083
Ga  0.0000  0.5000  0.7742
Ga  0.5000  0.0000  0.4130
Ga  0.5000  0.5000  0.9202
Rh  0.0000  0.0000  0.2680

The 6 most intense peaks (2θ = 5–70°), in order of rising 2θ:
- 30.4 deg, I = 100
- 32.0 deg, I = 41
- 38.5 deg, I = 48
- 39.2 deg, I = 22
- 41.3 deg, I = 25
- 42.5 deg, I = 23



This entry pairs a crystal structure of Pr5GeP4 with its calculated powder X-ray diffraction pattern. Radiation: Cu Kα X-rays. Structure: a crystal structure in Alexandria, relaxed with GGA-PBE.

Cell lengths 7.3195, 7.3195, 7.3195 Å; angles 99.58, 99.58, 131.86 degrees
Element x y z (fractional)
Pr  0.0000  0.0000  0.0000
Pr  0.1927  0.6039  0.7966
Pr  0.3961  0.1927  0.5888
Pr  0.6039  0.8073  0.4112
Pr  0.8073  0.3961  0.2034
Ge  0.5000  0.5000  0.0000
P  0.1004  0.3005  0.4008
P  0.3005  0.8996  0.2001
P  0.6995  0.1004  0.7999
P  0.8996  0.6995  0.5992

The 6 most intense peaks (2θ = 5–70°), in order of rising 2θ:
- 25.8 deg, I = 60
- 29.9 deg, I = 100
- 42.8 deg, I = 74
- 50.7 deg, I = 29
- 53.1 deg, I = 26
- 62.1 deg, I = 12



This entry pairs a crystal structure of Rb2US5 with its calculated powder X-ray diffraction pattern. Radiation: Cu Kα X-rays. Structure: a crystal structure in Alexandria, relaxed with GGA-PBE.

Cell lengths 5.2931, 6.3571, 9.2421 Å; angles 110.03, 106.43, 90.04 degrees
Element x y z (fractional)
Rb  0.0000  0.0000  0.0000
Rb  0.2566  0.2574  0.5197
U  0.7172  0.7176  0.4403
S  0.2067  0.7069  0.4186
S  0.6141  0.2803  0.2326
S  0.6153  0.9475  0.2319
S  0.8239  0.0811  0.6563
S  0.8250  0.5713  0.6572

The 6 most intense peaks (2θ = 5–70°), in order of rising 2θ:
- 10.7 deg, I = 100
- 17.6 deg, I = 35
- 21.3 deg, I = 39
- 21.8 deg, I = 50
- 30.8 deg, I = 42
- 35.6 deg, I = 42



This entry pairs a crystal structure of Ac2PmUS8 with its calculated powder X-ray diffraction pattern. Radiation: Cu Kα X-rays. Structure: a crystal structure in Alexandria, relaxed with GGA-PBE.

Cell lengths 4.7290, 9.3554, 6.9917 Å; angles 90.00, 90.06, 90.00 degrees
Element x y z (fractional)
Ac  0.0000  0.2486  0.0000
Ac  0.0000  0.7514  0.0000
Pm  0.5000  0.0000  0.5000
U  0.5000  0.5000  0.5000
S  0.9998  0.0000  0.2596
S  0.0002  0.0000  0.7404
S  0.0001  0.5000  0.2889
S  0.9999  0.5000  0.7111
S  0.5004  0.2732  0.2712
S  0.4996  0.2732  0.7288
S  0.5004  0.7268  0.2712
S  0.4996  0.7268  0.7288

The 6 most intense peaks (2θ = 5–70°), in order of rising 2θ:
- 22.7 deg, I = 100
- 22.9 deg, I = 100
- 26.8 deg, I = 30
- 37.3 deg, I = 96
- 44.9 deg, I = 35
- 45.2 deg, I = 33



This entry pairs a crystal structure of Tb3Nd2SmHo6 with its calculated powder X-ray diffraction pattern. Radiation: Cu Kα X-rays. Structure: a crystal structure in Alexandria, relaxed with GGA-PBE.

Cell lengths 6.1838, 6.1838, 11.7840 Å; angles 95.00, 95.00, 119.97 degrees
Element x y z (fractional)
Tb  0.0000  0.0000  0.0000
Tb  0.3334  0.6666  0.0000
Tb  0.6666  0.3334  0.0000
Nd  0.1667  0.8333  0.5000
Nd  0.8333  0.1667  0.5000
Sm  0.5000  0.5000  0.5000
Ho  0.0822  0.4154  0.2474
Ho  0.2516  0.2516  0.7526
Ho  0.4154  0.0822  0.2474
Ho  0.5846  0.9178  0.7526
Ho  0.7484  0.7484  0.2474
Ho  0.9178  0.5846  0.7526

The 6 most intense peaks (2θ = 5–70°), in order of rising 2θ:
- 30.7 deg, I = 100
- 30.8 deg, I = 33
- 35.6 deg, I = 67
- 51.2 deg, I = 24
- 51.3 deg, I = 24
- 60.9 deg, I = 24



This entry pairs a crystal structure of YZn4Cu4 with its calculated powder X-ray diffraction pattern. Radiation: Cu Kα X-rays. Structure: a crystal structure in Alexandria, relaxed with GGA-PBE.

Cell lengths 6.1055, 6.1055, 6.1055 Å; angles 97.27, 97.27, 138.31 degrees
Element x y z (fractional)
Y  0.0000  0.0000  0.0000
Zn  0.0858  0.6290  0.7149
Zn  0.3710  0.0858  0.4568
Zn  0.6290  0.9142  0.5432
Zn  0.9142  0.3710  0.2851
Cu  0.2776  0.3707  0.6483
Cu  0.3707  0.7224  0.0931
Cu  0.6293  0.2776  0.9069
Cu  0.7224  0.6293  0.3517

The 6 most intense peaks (2θ = 5–70°), in order of rising 2θ:
- 32.2 deg, I = 39
- 35.2 deg, I = 51
- 39.4 deg, I = 73
- 41.6 deg, I = 49
- 45.6 deg, I = 100
- 55.6 deg, I = 26